Diffraction record for Ba6Rh2Se. The PXRD pattern is calculated, not measured: it uses a structure optimized by DFT (PBE) and CuKα.
Lines closer than 0.1° are merged.

Cell and atoms:
```
Ba6Rh2Se
1.0
7.501 0.000 0.000
0.000 8.081 0.000
0.000 0.000 13.361
Ba Rh Se
12 4 2
Cartesian
1.615 1.251 0.000
1.864 1.501 4.415
1.864 1.501 8.945
1.887 5.542 2.265
1.887 5.542 11.095
2.135 5.291 6.680
5.366 2.790 6.680
5.614 2.539 2.265
5.614 2.539 11.095
5.637 6.580 4.415
5.637 6.580 8.945
5.885 6.830 0.000
0.000 0.000 2.408
0.000 0.000 10.953
3.750 4.040 4.272
3.750 4.040 9.088
0.000 4.040 0.000
3.750 0.000 6.680
```

Principal peaks in the range 2θ = 15–90°, low angle first:
23.72 deg, I = 14, hkl 2 0 0; 25.03 deg, I = 42, hkl 1 2 0; 25.74 deg, I = 100, hkl 1 1 3; 32.58 deg, I = 31, hkl 2 2 0; 33.14 deg, I = 42, hkl 2 1 3; 39.08 deg, I = 36, hkl 0 3 3; 40.51 deg, I = 17, hkl 0 0 6; 42.97 deg, I = 22, hkl 3 1 3; 48.21 deg, I = 14, hkl 1 2 6; 52.92 deg, I = 14, hkl 2 2 6; 64.01 deg, I = 14, hkl 4 3 3; 65.05 deg, I = 15, hkl 4 0 6